Diffraction record for Tl3Cu2O4. The X-ray diffraction stick pattern is simulated, not measured: it uses a cell relaxed with GGA-PBE and CuKα.

Structure:
a b c (Å): 17.0364 7.3325 5.5599
angles (deg): 90.00 108.45 90.00
Space group C2/c (No. 15)
Asymmetric unit:
Tl (0.0000, 0.1726, 0.2500) x4
Tl (0.1348, 0.3337, 0.8994) x8
Cu (0.1880, 0.1079, 0.4592) x8
O (0.1244, 0.0201, 0.6628) x8
O (0.2494, 0.2687, 0.7194) x8

Most intense lines, 5 to 70 degrees two-theta, in order of rising 2θ:
d 3.666, 2θ 24.28, I = 16, hkl 0 2 0; d 3.007, 2θ 29.71, I = 100, hkl 2 2 -1; d 2.998, 2θ 29.81, I = 68, hkl 3 1 1; d 2.973, 2θ 30.06, I = 65, hkl 5 1 -1; d 2.958, 2θ 30.22, I = 17, hkl 5 1 0; d 2.780, 2θ 32.20, I = 45, hkl 2 0 -2; d 2.226, 2θ 40.52, I = 30, hkl 3 3 0; d 2.018, 2θ 44.92, I = 18, hkl 8 0 0; d 1.949, 2θ 46.59, I = 17, hkl 5 3 0; d 1.733, 2θ 52.83, I = 19, hkl 5 3 -2